Structure and simulated powder diffraction line list of FeH4Br3N (a cell relaxed with GGA-PBE; λ = 1.5418 Å (Cu Kα)).

Crystal structure
```
data_FeH4Br3N
_space_group_name_H-M_alt 'P 63'
_space_group_IT_number 173
_cell_length_a 7.4933
_cell_length_b 7.4933
_cell_length_c 6.1419
_cell_angle_alpha 90.00
_cell_angle_beta 90.00
_cell_angle_gamma 120.00
loop_
_space_group_symop_operation_xyz
'x,y,z'
'x-y,x,z+1/2'
'-y,x-y,z'
'-x,-y,z+1/2'
'-x+y,-x,z'
'y,-x+y,z+1/2'
loop_
_atom_site_label
_atom_site_type_symbol
_atom_site_fract_x
_atom_site_fract_y
_atom_site_fract_z
Fe1 Fe 0.0000 0.0000 0.0000
H1 H 0.2004 0.6661 0.2786
H2 H 0.3333 0.6667 0.0588
Br1 Br 0.1207 0.3242 0.7522
N1 N 0.3333 0.6667 0.2274
```

The 8 most intense peaks (2θ = 15–90°), sorted by position:
27.89°, I = 22, hkl 1 1 1; 29.08°, I = 20, hkl 0 0 2; 31.18°, I = 100, hkl 2 0 1; 37.88°, I = 24, hkl 1 1 2; 40.44°, I = 36, hkl 2 0 2; 48.60°, I = 21, hkl 2 2 0; 50.74°, I = 21, hkl 1 3 0; 52.88°, I = 21, hkl 2 0 3